Record 1
Hg3Pb5Cl16: simulated powder X-ray diffraction pattern (Cu Ka), based on a GGA-PBE-relaxed structure.

Atomic structure:
abc: 14.567 8.337 13.158
angles: 90.00 91.75 90.00
Space group Cm (No. 8)
Symmetry-distinct sites (fractional):
Hg  0.000  0.000  0.000 (multiplicity 2)
Hg  0.417  0.250  0.496 (multiplicity 4)
Pb  0.162  0.000  0.272 (multiplicity 2)
Pb  0.167  0.500  0.500 (multiplicity 2)
Pb  0.249  0.250  0.999 (multiplicity 4)
Pb  0.492  0.000  0.763 (multiplicity 2)
Cl  0.066  0.267  0.624 (multiplicity 4)
Cl  0.085  0.225  0.124 (multiplicity 4)
Cl  0.151  0.000  0.883 (multiplicity 2)
Cl  0.169  0.500  0.869 (multiplicity 2)
Cl  0.260  0.258  0.382 (multiplicity 4)
Cl  0.315  0.000  0.135 (multiplicity 2)
Cl  0.344  0.500  0.606 (multiplicity 2)
Cl  0.345  0.000  0.611 (multiplicity 2)
Cl  0.347  0.500  0.114 (multiplicity 2)
Cl  0.418  0.262  0.888 (multiplicity 4)
Cl  0.488  0.000  0.387 (multiplicity 2)
Cl  0.491  0.500  0.390 (multiplicity 2)

Principal peaks in the range 10° ≤ 2θ ≤ 90°, low angle first:
hkl 0 0 2, 13.46 deg, d = 6.576 Å, rel. 100; hkl 1 1 -1, 13.88 deg, d = 6.380 Å, rel. 61; hkl 1 1 1, 14.07 deg, d = 6.296 Å, rel. 87; hkl 0 2 2, 25.30 deg, d = 3.521 Å, rel. 39; hkl 2 2 -1, 25.46 deg, d = 3.499 Å, rel. 97; hkl 2 2 1, 25.62 deg, d = 3.476 Å, rel. 70; hkl 2 2 -3, 31.83 deg, d = 2.811 Å, rel. 49; hkl 2 2 3, 32.32 deg, d = 2.770 Å, rel. 49; hkl 2 2 -5, 42.17 deg, d = 2.143 Å, rel. 40; hkl 6 2 0, 43.13 deg, d = 2.097 Å, rel. 69

Record 2
Na2Tl4Sn: simulated powder X-ray diffraction pattern (Cu Ka), based on a GGA-PBE-relaxed structure.

Atomic structure:
abc: 7.023 13.302 4.665
angles: 90.00 90.00 90.00
Space group Pbam (No. 55)
Symmetry-distinct sites (fractional):
Na  0.190  0.115  0.000 (multiplicity 4)
Tl  0.056  0.747  0.500 (multiplicity 4)
Tl  0.207  0.381  0.000 (multiplicity 4)
Sn  0.000  0.500  0.500 (multiplicity 2)

Principal peaks in the range 10° ≤ 2θ ≤ 90°, low angle first:
hkl 0 2 0, 13.31 deg, d = 6.651 Å, rel. 27; hkl 1 1 0, 14.26 deg, d = 6.210 Å, rel. 30; hkl 1 2 0, 18.37 deg, d = 4.829 Å, rel. 50; hkl 1 2 1, 26.57 deg, d = 3.355 Å, rel. 44; hkl 2 0 1, 31.90 deg, d = 2.806 Å, rel. 77; hkl 2 3 0, 32.59 deg, d = 2.748 Å, rel. 62; hkl 0 4 1, 33.08 deg, d = 2.708 Å, rel. 100; hkl 2 4 0, 37.24 deg, d = 2.415 Å, rel. 50; hkl 0 0 2, 38.60 deg, d = 2.333 Å, rel. 34; hkl 2 4 2, 54.71 deg, d = 1.678 Å, rel. 34

Record 3
SmErCuAg: simulated powder X-ray diffraction pattern (Cu Ka), based on a GGA-PBE-relaxed structure.

Atomic structure:
abc: 3.545 3.545 7.274
angles: 90.00 90.00 90.00
Space group P4mm (No. 99)
Symmetry-distinct sites (fractional):
Sm  0.000  0.000  0.000 (multiplicity 1)
Er  0.000  0.000  0.473 (multiplicity 1)
Cu  0.500  0.500  0.255 (multiplicity 1)
Ag  0.500  0.500  0.719 (multiplicity 1)

Principal peaks in the range 10° ≤ 2θ ≤ 90°, low angle first:
hkl 1 0 0, 25.12 deg, d = 3.545 Å, rel. 9; hkl 1 0 2, 35.36 deg, d = 2.538 Å, rel. 100; hkl 1 1 0, 35.83 deg, d = 2.506 Å, rel. 50; hkl 0 0 4, 50.17 deg, d = 1.818 Å, rel. 8; hkl 2 0 0, 51.57 deg, d = 1.772 Å, rel. 17; hkl 1 1 4, 63.17 deg, d = 1.472 Å, rel. 16; hkl 2 1 2, 64.08 deg, d = 1.453 Å, rel. 35; hkl 2 0 4, 74.80 deg, d = 1.269 Å, rel. 10; hkl 3 0 2, 86.63 deg, d = 1.124 Å, rel. 8; hkl 3 1 0, 86.91 deg, d = 1.121 Å, rel. 8

Record 4
KInAu3: simulated powder X-ray diffraction pattern (Cu Ka), based on a GGA-PBE-relaxed structure.

Atomic structure:
abc: 4.972 4.972 10.526
angles: 90.00 90.00 90.00
Space group I4mm (No. 107)
Symmetry-distinct sites (fractional):
K  0.000  0.000  0.000 (multiplicity 2)
In  0.000  0.000  0.633 (multiplicity 2)
Au  0.000  0.000  0.378 (multiplicity 2)
Au  0.000  0.500  0.251 (multiplicity 4)

Principal peaks in the range 10° ≤ 2θ ≤ 90°, low angle first:
hkl 0 0 2, 16.85 deg, d = 5.263 Å, rel. 70; hkl 1 0 1, 19.75 deg, d = 4.496 Å, rel. 51; hkl 1 1 2, 30.58 deg, d = 2.923 Å, rel. 100; hkl 1 0 3, 31.20 deg, d = 2.867 Å, rel. 38; hkl 2 0 0, 36.13 deg, d = 2.486 Å, rel. 94; hkl 2 0 2, 40.11 deg, d = 2.248 Å, rel. 35; hkl 1 1 4, 42.93 deg, d = 2.107 Å, rel. 94; hkl 2 2 0, 52.02 deg, d = 1.758 Å, rel. 33; hkl 3 1 2, 61.56 deg, d = 1.506 Å, rel. 28; hkl 3 1 4, 69.66 deg, d = 1.350 Å, rel. 45

Record 5
Li2PrCu9: simulated powder X-ray diffraction pattern (Cu Ka), based on a GGA-PBE-relaxed structure.

Atomic structure:
abc: 5.0352 5.0352 24.3261
angles: 90.00 90.00 120.00
Space group R-3m (No. 166, hexagonal axes)
Symmetry-distinct sites (fractional):
Li  0.0000  0.0000  0.1488 (multiplicity 6)
Pr  0.0000  0.0000  0.0000 (multiplicity 3)
Cu  0.0000  0.0000  0.3326 (multiplicity 6)
Cu  0.0000  0.0000  0.5000 (multiplicity 3)
Cu  0.0014  0.5007  0.9146 (multiplicity 18)

Principal peaks in the range 10° ≤ 2θ ≤ 90°, low angle first:
hkl 0 0 3, 10.91 deg, d = 8.109 Å, rel. 62; hkl 1 0 4, 25.13 deg, d = 3.544 Å, rel. 37; hkl 1 1 3, 37.40 deg, d = 2.404 Å, rel. 25; hkl 0 2 1, 41.59 deg, d = 2.172 Å, rel. 29; hkl 2 0 2, 42.10 deg, d = 2.146 Å, rel. 23; hkl 1 1 6, 42.26 deg, d = 2.139 Å, rel. 100; hkl 0 0 12, 44.70 deg, d = 2.027 Å, rel. 33; hkl 2 0 5, 45.59 deg, d = 1.990 Å, rel. 22; hkl 0 3 6, 68.59 deg, d = 1.368 Å, rel. 22; hkl 2 2 0, 75.53 deg, d = 1.259 Å, rel. 20

Record 6
NaPmIrPb: simulated powder X-ray diffraction pattern (Cu Ka), based on a GGA-PBE-relaxed structure.

Atomic structure:
abc: 7.054 7.054 7.054
angles: 90.00 90.00 90.00
Space group F-43m (No. 216)
Symmetry-distinct sites (fractional):
Na  0.000  0.000  0.000 (multiplicity 4)
Pm  0.250  0.250  0.750 (multiplicity 4)
Ir  0.000  0.000  0.500 (multiplicity 4)
Pb  0.250  0.250  0.250 (multiplicity 4)

Principal peaks in the range 10° ≤ 2θ ≤ 90°, low angle first:
hkl 1 1 1, 21.82 deg, d = 4.073 Å, rel. 22; hkl 2 0 0, 25.25 deg, d = 3.527 Å, rel. 7; hkl 2 2 0, 36.01 deg, d = 2.494 Å, rel. 100; hkl 3 1 1, 42.50 deg, d = 2.127 Å, rel. 12; hkl 4 0 0, 51.84 deg, d = 1.764 Å, rel. 18; hkl 3 3 1, 56.89 deg, d = 1.618 Å, rel. 5; hkl 4 2 2, 64.74 deg, d = 1.440 Å, rel. 37; hkl 4 4 0, 76.37 deg, d = 1.247 Å, rel. 11; hkl 5 3 1, 80.56 deg, d = 1.192 Å, rel. 4; hkl 6 2 0, 87.44 deg, d = 1.115 Å, rel. 17

Record 7
LiGe2F11: simulated powder X-ray diffraction pattern (Cu Ka), based on a GGA-PBE-relaxed structure.

Atomic structure:
abc: 12.810 9.706 8.678
angles: 90.00 132.58 90.00
Space group Cm (No. 8)
Symmetry-distinct sites (fractional):
Li  0.000  0.250  0.000 (multiplicity 4)
Ge  0.234  0.000  0.578 (multiplicity 2)
Ge  0.235  0.500  0.892 (multiplicity 2)
Ge  0.285  0.000  0.199 (multiplicity 2)
Ge  0.285  0.500  0.371 (multiplicity 2)
F  0.108  0.129  0.398 (multiplicity 4)
F  0.108  0.371  0.820 (multiplicity 4)
F  0.146  0.372  0.233 (multiplicity 4)
F  0.147  0.128  0.061 (multiplicity 4)
F  0.153  0.000  0.699 (multiplicity 2)
F  0.153  0.500  0.609 (multiplicity 2)
F  0.303  0.000  0.438 (multiplicity 2)
F  0.303  0.500  0.169 (multiplicity 2)
F  0.311  0.500  0.616 (multiplicity 2)
F  0.312  0.000  0.008 (multiplicity 2)
F  0.360  0.132  0.754 (multiplicity 4)
F  0.360  0.368  0.966 (multiplicity 4)
F  0.416  0.133  0.327 (multiplicity 4)
F  0.416  0.367  0.506 (multiplicity 4)

Principal peaks in the range 10° ≤ 2θ ≤ 90°, low angle first:
hkl 0 2 0, 18.28 deg, d = 4.853 Å, rel. 79; hkl 2 0 0, 18.82 deg, d = 4.716 Å, rel. 53; hkl 3 1 -2, 24.37 deg, d = 3.652 Å, rel. 100; hkl 2 2 0, 26.35 deg, d = 3.382 Å, rel. 60; hkl 3 1 -3, 32.33 deg, d = 2.769 Å, rel. 18; hkl 2 4 0, 41.87 deg, d = 2.158 Å, rel. 16; hkl 5 3 -2, 45.33 deg, d = 2.001 Å, rel. 22; hkl 2 4 1, 48.54 deg, d = 1.876 Å, rel. 11; hkl 4 4 0, 54.24 deg, d = 1.691 Å, rel. 12; hkl 2 6 0, 60.52 deg, d = 1.530 Å, rel. 10

Record 8
Tb4DyY4: simulated powder X-ray diffraction pattern (Cu Ka), based on a GGA-PBE-relaxed structure.

Atomic structure:
abc: 16.778 5.512 6.804
angles: 90.00 111.82 90.00
Space group C2/m (No. 12)
Symmetry-distinct sites (fractional):
Tb  0.073  0.000  0.389 (multiplicity 4)
Tb  0.137  0.500  0.707 (multiplicity 4)
Dy  0.000  0.500  0.000 (multiplicity 2)
Y  0.135  0.000  0.974 (multiplicity 4)
Y  0.219  0.500  0.298 (multiplicity 4)

Principal peaks in the range 10° ≤ 2θ ≤ 90°, low angle first:
hkl 1 1 1, 23.49 deg, d = 3.788 Å, rel. 19; hkl 3 1 1, 30.68 deg, d = 2.914 Å, rel. 78; hkl 3 1 -2, 31.63 deg, d = 2.829 Å, rel. 100; hkl 6 0 -1, 32.04 deg, d = 2.794 Å, rel. 37; hkl 0 2 0, 32.49 deg, d = 2.756 Å, rel. 50; hkl 5 1 0, 33.03 deg, d = 2.712 Å, rel. 16; hkl 6 2 -1, 46.27 deg, d = 1.962 Å, rel. 26; hkl 0 2 3, 54.87 deg, d = 1.673 Å, rel. 15; hkl 3 3 -2, 57.42 deg, d = 1.605 Å, rel. 31; hkl 5 1 3, 64.14 deg, d = 1.452 Å, rel. 16

Record 9
Y5Mg4In: simulated powder X-ray diffraction pattern (Cu Ka), based on a GGA-PBE-relaxed structure.

Atomic structure:
abc: 3.799 3.799 18.906
angles: 90.00 90.00 90.00
Space group P4/mmm (No. 123)
Symmetry-distinct sites (fractional):
Y  0.000  0.000  0.000 (multiplicity 1)
Y  0.000  0.000  0.201 (multiplicity 2)
Y  0.000  0.000  0.400 (multiplicity 2)
Mg  0.500  0.500  0.101 (multiplicity 2)
Mg  0.500  0.500  0.300 (multiplicity 2)
In  0.500  0.500  0.500 (multiplicity 1)

Principal peaks in the range 10° ≤ 2θ ≤ 90°, low angle first:
hkl 1 0 0, 23.42 deg, d = 3.799 Å, rel. 10; hkl 0 0 5, 23.53 deg, d = 3.781 Å, rel. 5; hkl 1 1 0, 33.41 deg, d = 2.682 Å, rel. 100; hkl 2 0 0, 47.89 deg, d = 1.900 Å, rel. 12; hkl 0 0 10, 48.13 deg, d = 1.891 Å, rel. 6; hkl 2 1 5, 59.66 deg, d = 1.550 Å, rel. 24; hkl 1 1 10, 59.82 deg, d = 1.546 Å, rel. 12; hkl 2 0 10, 70.24 deg, d = 1.340 Å, rel. 7; hkl 3 1 0, 79.86 deg, d = 1.201 Å, rel. 10; hkl 1 0 15, 80.25 deg, d = 1.196 Å, rel. 5

Record 10
Na6P4Pb3S16: simulated powder X-ray diffraction pattern (Cu Ka), based on a GGA-PBE-relaxed structure.

Atomic structure:
abc: 19.6505 19.6505 6.2523
angles: 90.00 90.00 120.00
Space group R3m (No. 160, hexagonal axes)
Symmetry-distinct sites (fractional):
Na  0.0215  0.2367  0.0000 (multiplicity 18)
P  0.0000  0.0000  0.7875 (multiplicity 3)
P  0.0177  0.5088  0.1086 (multiplicity 9)
Pb  0.1770  0.0885  0.4706 (multiplicity 9)
S  0.0000  0.0000  0.4589 (multiplicity 3)
S  0.0973  0.3656  0.3034 (multiplicity 18)
S  0.0991  0.1982  0.3666 (multiplicity 9)
S  0.1153  0.0577  0.8936 (multiplicity 9)
S  0.1689  0.3378  0.7652 (multiplicity 9)

Principal peaks in the range 10° ≤ 2θ ≤ 90°, low angle first:
hkl 1 0 1, 15.10 deg, d = 5.869 Å, rel. 100; hkl 3 0 0, 15.62 deg, d = 5.673 Å, rel. 99; hkl 1 3 1, 23.62 deg, d = 3.767 Å, rel. 96; hkl 4 1 0, 23.96 deg, d = 3.714 Å, rel. 63; hkl 4 0 1, 25.32 deg, d = 3.517 Å, rel. 41; hkl 0 5 1, 29.89 deg, d = 2.989 Å, rel. 40; hkl 2 4 1, 31.28 deg, d = 2.860 Å, rel. 40; hkl 4 3 1, 35.14 deg, d = 2.554 Å, rel. 55; hkl 0 4 2, 35.64 deg, d = 2.519 Å, rel. 40; hkl 4 4 0, 36.58 deg, d = 2.456 Å, rel. 56

Record 11
Cs4TlHg3F12: simulated powder X-ray diffraction pattern (Cu Ka), based on a GGA-PBE-relaxed structure.

Atomic structure:
abc: 9.389 9.389 9.389
angles: 90.00 90.00 90.00
Space group Im-3m (No. 229)
Symmetry-distinct sites (fractional):
Cs  0.250  0.250  0.250 (multiplicity 8)
Tl  0.000  0.000  0.000 (multiplicity 2)
Hg  0.000  0.000  0.500 (multiplicity 6)
F  0.000  0.000  0.247 (multiplicity 12)
F  0.000  0.250  0.500 (multiplicity 12)

Principal peaks in the range 10° ≤ 2θ ≤ 90°, low angle first:
hkl 2 0 0, 18.90 deg, d = 4.695 Å, rel. 9; hkl 2 2 0, 26.86 deg, d = 3.320 Å, rel. 100; hkl 4 0 0, 38.35 deg, d = 2.347 Å, rel. 31; hkl 4 2 0, 43.09 deg, d = 2.099 Å, rel. 5; hkl 4 2 2, 47.44 deg, d = 1.917 Å, rel. 44; hkl 4 4 0, 55.35 deg, d = 1.660 Å, rel. 21; hkl 6 2 0, 62.57 deg, d = 1.485 Å, rel. 20; hkl 4 4 4, 69.34 deg, d = 1.355 Å, rel. 7; hkl 6 4 2, 75.82 deg, d = 1.255 Å, rel. 23; hkl 8 2 2, 88.33 deg, d = 1.107 Å, rel. 12

Record 12
H2OsBr8: simulated powder X-ray diffraction pattern (Cu Ka), based on a GGA-PBE-relaxed structure.

Atomic structure:
abc: 11.039 7.774 9.494
angles: 90.00 117.87 90.00
Space group C2/m (No. 12)
Symmetry-distinct sites (fractional):
H  0.208  0.000  0.456 (multiplicity 4)
Os  0.000  0.000  0.000 (multiplicity 2)
Br  0.022  0.000  0.749 (multiplicity 4)
Br  0.147  0.500  0.426 (multiplicity 4)
Br  0.177  0.224  0.112 (multiplicity 8)

Principal peaks in the range 10° ≤ 2θ ≤ 90°, low angle first:
hkl 0 0 1, 10.54 deg, d = 8.393 Å, rel. 100; hkl 1 1 0, 14.57 deg, d = 6.080 Å, rel. 93; hkl 1 1 -1, 15.30 deg, d = 5.790 Å, rel. 64; hkl 2 0 -1, 16.19 deg, d = 5.474 Å, rel. 37; hkl 1 1 1, 20.38 deg, d = 4.357 Å, rel. 69; hkl 2 0 -3, 28.40 deg, d = 3.142 Å, rel. 68; hkl 2 2 0, 29.38 deg, d = 3.040 Å, rel. 55; hkl 3 1 0, 29.77 deg, d = 3.001 Å, rel. 43; hkl 2 2 1, 34.16 deg, d = 2.625 Å, rel. 42; hkl 3 3 0, 44.71 deg, d = 2.027 Å, rel. 30